# 1
Simulated powder X-ray diffraction pattern
Compound: BaWO4
Radiation: λ = 1.5418 Å (Cu Kα)
Structure: DFT lattice parameters and positions (PBE+U)

Peak list (10 most intense, 15° ≤ 2θ ≤ 90°, by angle)
26.0 deg, d 3.425, I 100
28.0 deg, d 3.183, I 16
30.9 deg, d 2.892, I 12
42.2 deg, d 2.140, I 15
42.5 deg, d 2.125, I 14
44.6 deg, d 2.031, I 12
48.4 deg, d 1.881, I 17
52.1 deg, d 1.756, I 14
52.6 deg, d 1.739, I 14
53.5 deg, d 1.712, I 13

Atomic structure:
```
data_BaWO4
_cell_length_a 7.551
_cell_length_b 7.551
_cell_length_c 5.708
_cell_angle_alpha 112.19
_cell_angle_beta 112.19
_cell_angle_gamma 114.92
_symmetry_space_group_name_H-M 'P 1'
_symmetry_Int_Tables_number 1
loop_
_symmetry_equiv_pos_as_xyz
'x,y,z'
loop_
_atom_site_label
_atom_site_fract_x
_atom_site_fract_y
_atom_site_fract_z
_atom_site_occupancy
Ba1 0.126 0.874 0.750 1
Ba2 0.874 0.126 0.250 1
W1 0.379 0.621 0.250 1
W2 0.621 0.379 0.750 1
O1 0.165 0.568 0.342 1
O2 0.231 0.317 0.884 1
O3 0.317 0.231 0.384 1
O4 0.432 0.835 0.158 1
O5 0.568 0.165 0.842 1
O6 0.683 0.769 0.616 1
O7 0.769 0.683 0.116 1
O8 0.835 0.432 0.658 1
```


# 2
Simulated powder X-ray diffraction pattern
Compound: BaW6O18
Radiation: λ = 1.5418 Å (Cu Kα)
Structure: DFT lattice parameters and positions (PBE+U)

Peak list (10 most intense, 15° ≤ 2θ ≤ 90°, by angle)
23.0 deg, d 3.868, I 41
26.8 deg, d 3.326, I 28
27.4 deg, d 3.257, I 100
33.2 deg, d 2.696, I 16
36.1 deg, d 2.491, I 43
48.4 deg, d 1.880, I 26
54.2 deg, d 1.691, I 19
55.2 deg, d 1.663, I 23
56.5 deg, d 1.629, I 16
69.8 deg, d 1.348, I 14

Atomic structure:
```
data_BaW6O18
_cell_length_a 7.522
_cell_length_b 7.522
_cell_length_c 7.735
_cell_angle_alpha 90.00
_cell_angle_beta 90.00
_cell_angle_gamma 120.00
_symmetry_space_group_name_H-M 'P 1'
_symmetry_Int_Tables_number 1
loop_
_symmetry_equiv_pos_as_xyz
'x,y,z'
loop_
_atom_site_label
_atom_site_fract_x
_atom_site_fract_y
_atom_site_fract_z
_atom_site_occupancy
Ba1 0.000 0.000 0.000 1
W1 0.000 0.500 0.184 1
W2 0.000 0.500 0.682 1
W3 0.500 0.000 0.184 1
W4 0.500 0.000 0.682 1
W5 0.500 0.500 0.184 1
W6 0.500 0.500 0.682 1
O1 0.000 0.500 0.432 1
O2 0.000 0.500 0.933 1
O3 0.208 0.417 0.178 1
O4 0.208 0.792 0.178 1
O5 0.211 0.422 0.686 1
O6 0.211 0.789 0.686 1
O7 0.417 0.208 0.178 1
O8 0.422 0.211 0.686 1
O9 0.500 0.000 0.432 1
O10 0.500 0.000 0.933 1
O11 0.500 0.500 0.432 1
O12 0.500 0.500 0.933 1
O13 0.578 0.789 0.686 1
O14 0.583 0.792 0.178 1
O15 0.789 0.211 0.686 1
O16 0.789 0.578 0.686 1
O17 0.792 0.208 0.178 1
O18 0.792 0.583 0.178 1
```


# 3
Simulated powder X-ray diffraction pattern
Compound: BaWO4
Radiation: λ = 1.5418 Å (Cu Kα)
Structure: DFT lattice parameters and positions (PBE+U)

Peak list (10 most intense, 15° ≤ 2θ ≤ 90°, by angle)
23.5 deg, d 3.791, I 37
26.7 deg, d 3.344, I 100
26.8 deg, d 3.329, I 27
28.0 deg, d 3.190, I 87
30.3 deg, d 2.951, I 42
31.7 deg, d 2.819, I 32
38.7 deg, d 2.329, I 23
48.0 deg, d 1.896, I 22
50.6 deg, d 1.805, I 25
52.4 deg, d 1.745, I 35

Atomic structure:
```
data_BaWO4
_cell_length_a 4.197
_cell_length_b 5.903
_cell_length_c 7.841
_cell_angle_alpha 90.00
_cell_angle_beta 104.75
_cell_angle_gamma 90.00
_symmetry_space_group_name_H-M 'P 1'
_symmetry_Int_Tables_number 1
loop_
_symmetry_equiv_pos_as_xyz
'x,y,z'
loop_
_atom_site_label
_atom_site_fract_x
_atom_site_fract_y
_atom_site_fract_z
_atom_site_occupancy
Ba1 0.178 0.250 0.323 1
Ba2 0.822 0.750 0.677 1
W1 0.353 0.250 0.823 1
W2 0.647 0.750 0.177 1
O1 0.081 0.750 0.163 1
O2 0.317 0.028 0.649 1
O3 0.317 0.472 0.649 1
O4 0.500 0.000 0.000 1
O5 0.500 0.500 0.000 1
O6 0.683 0.528 0.351 1
O7 0.683 0.972 0.351 1
O8 0.919 0.250 0.837 1
```


# 4
Simulated powder X-ray diffraction pattern
Compound: BaW6O18
Radiation: λ = 1.5418 Å (Cu Kα)
Structure: DFT lattice parameters and positions (PBE+U)

Peak list (10 most intense, 15° ≤ 2θ ≤ 90°, by angle)
23.1 deg, d 3.846, I 41
27.0 deg, d 3.306, I 29
27.6 deg, d 3.233, I 100
33.5 deg, d 2.679, I 16
36.3 deg, d 2.475, I 43
48.8 deg, d 1.867, I 25
54.7 deg, d 1.679, I 18
55.6 deg, d 1.653, I 23
57.0 deg, d 1.617, I 16
70.3 deg, d 1.339, I 13

Atomic structure:
```
data_BaW6O18
_cell_length_a 7.467
_cell_length_b 7.467
_cell_length_c 7.692
_cell_angle_alpha 90.00
_cell_angle_beta 90.00
_cell_angle_gamma 120.00
_symmetry_space_group_name_H-M 'P 1'
_symmetry_Int_Tables_number 1
loop_
_symmetry_equiv_pos_as_xyz
'x,y,z'
loop_
_atom_site_label
_atom_site_fract_x
_atom_site_fract_y
_atom_site_fract_z
_atom_site_occupancy
Ba1 0.000 0.000 0.000 1
W1 0.000 0.492 0.684 1
W2 0.000 0.504 0.186 1
W3 0.492 0.000 0.684 1
W4 0.496 0.496 0.186 1
W5 0.504 0.000 0.186 1
W6 0.508 0.508 0.684 1
O1 0.000 0.499 0.433 1
O2 0.000 0.499 0.935 1
O3 0.209 0.418 0.180 1
O4 0.210 0.791 0.180 1
O5 0.211 0.787 0.687 1
O6 0.213 0.424 0.687 1
O7 0.418 0.209 0.180 1
O8 0.424 0.213 0.687 1
O9 0.499 0.000 0.433 1
O10 0.499 0.000 0.935 1
O11 0.501 0.501 0.433 1
O12 0.501 0.501 0.935 1
O13 0.576 0.789 0.687 1
O14 0.582 0.790 0.180 1
O15 0.787 0.211 0.687 1
O16 0.789 0.576 0.687 1
O17 0.790 0.582 0.180 1
O18 0.791 0.210 0.180 1
```